Computed powder diffraction line list of PmAl3Si3 for λ = 1.5418 Å (Cu Kα), from a crystal structure in Alexandria, relaxed with PBE.
Lines closer than 0.1° are merged.

The 6 most intense peaks (10 to 90 degrees two-theta), most intense first:
- 31.86 deg, rel. 100
- 49.58 deg, rel. 57
- 25.90 deg, rel. 43
- 18.24 deg, rel. 36
- 87.39 deg, rel. 17
- 75.73 deg, rel. 16

Crystal structure
Unit cell a=6.8794 b=6.8794 c=6.8794 alpha=90.00 beta=90.00 gamma=90.00
Fractional coordinates of all 14 atoms:
Pm  0.0000  0.0000  0.0000
Pm  0.5000  0.5000  0.5000
Al  0.0000  0.2500  0.5000
Al  0.0000  0.7500  0.5000
Al  0.2500  0.5000  0.0000
Al  0.5000  0.0000  0.2500
Al  0.5000  0.0000  0.7500
Al  0.7500  0.5000  0.0000
Si  0.0000  0.5000  0.2500
Si  0.0000  0.5000  0.7500
Si  0.2500  0.0000  0.5000
Si  0.5000  0.2500  0.0000
Si  0.5000  0.7500  0.0000
Si  0.7500  0.0000  0.5000

=====

Computed powder diffraction line list of Pm4Al3Si5 for λ = 1.5418 Å (Cu Kα), from a crystal structure in Alexandria, relaxed with PBE.
Lines closer than 0.1° are merged.

The 6 most intense peaks (10 to 90 degrees two-theta), most intense first:
- 21.46 deg, rel. 100
- 33.77 deg, rel. 97
- 33.26 deg, rel. 88
- 30.53 deg, rel. 65
- 30.21 deg, rel. 63
- 39.58 deg, rel. 54

Crystal structure
Unit cell a=6.1018 b=6.1018 c=11.5838 alpha=115.58 beta=115.58 gamma=43.82
Fractional coordinates of all 12 atoms:
Pm  0.1362  0.1362  0.4928
Pm  0.1416  0.1416  0.8381
Pm  0.8584  0.8584  0.1619
Pm  0.8638  0.8638  0.5072
Al  0.1789  0.1789  0.2414
Al  0.5000  0.5000  0.0000
Al  0.8211  0.8211  0.7586
Si  0.0000  0.0000  0.0000
Si  0.4171  0.4171  0.7232
Si  0.4288  0.4288  0.3708
Si  0.5712  0.5712  0.6292
Si  0.5829  0.5829  0.2768

=====

Computed powder diffraction line list of Pm5AlSi3 for λ = 1.5418 Å (Cu Kα), from a crystal structure in Alexandria, relaxed with PBE.
Lines closer than 0.1° are merged.

The 6 most intense peaks (10 to 90 degrees two-theta), most intense first:
- 34.37 deg, rel. 100
- 24.12 deg, rel. 33
- 33.36 deg, rel. 20
- 30.22 deg, rel. 19
- 49.40 deg, rel. 17
- 61.54 deg, rel. 15

Crystal structure
Unit cell a=9.0438 b=9.0438 c=6.3828 alpha=90.00 beta=90.00 gamma=120.00
Fractional coordinates of all 18 atoms:
Pm  0.0000  0.2831  0.2500
Pm  0.0000  0.7169  0.7500
Pm  0.2831  0.0000  0.2500
Pm  0.2831  0.2831  0.7500
Pm  0.3333  0.6667  0.0000
Pm  0.3333  0.6667  0.5000
Pm  0.6667  0.3333  0.0000
Pm  0.6667  0.3333  0.5000
Pm  0.7169  0.0000  0.7500
Pm  0.7169  0.7169  0.2500
Al  0.0000  0.0000  0.0000
Al  0.0000  0.0000  0.5000
Si  0.0000  0.3700  0.7500
Si  0.0000  0.6300  0.2500
Si  0.3700  0.0000  0.7500
Si  0.3700  0.3700  0.2500
Si  0.6300  0.0000  0.2500
Si  0.6300  0.6300  0.7500

=====

Computed powder diffraction line list of Pm2AlSi4 for λ = 1.5418 Å (Cu Kα), from a crystal structure in Alexandria, relaxed with PBE.
Lines closer than 0.1° are merged.

The 6 most intense peaks (10 to 90 degrees two-theta), most intense first:
- 29.45 deg, rel. 100
- 21.16 deg, rel. 67
- 36.55 deg, rel. 67
- 53.05 deg, rel. 31
- 43.09 deg, rel. 25
- 30.10 deg, rel. 22

Crystal structure
Unit cell a=6.0734 b=6.0702 c=5.9382 alpha=60.75 beta=60.70 gamma=58.55
Fractional coordinates of all 7 atoms:
Pm  0.0000  0.0000  0.5000
Pm  0.5000  0.5000  0.0000
Al  0.2482  0.2482  0.7518
Si  0.5484  0.9519  0.4516
Si  0.5478  0.9527  0.0473
Si  0.9519  0.5484  0.0481
Si  0.9527  0.5478  0.4522

=====

Computed powder diffraction line list of Pm5Sm4Al for λ = 1.5418 Å (Cu Kα), from a crystal structure in Alexandria, relaxed with PBE.
Lines closer than 0.1° are merged.

The 6 most intense peaks (10 to 90 degrees two-theta), most intense first:
- 30.64 deg, rel. 100
- 30.85 deg, rel. 92
- 35.13 deg, rel. 66
- 51.69 deg, rel. 44
- 36.66 deg, rel. 31
- 60.13 deg, rel. 28

Crystal structure
Unit cell a=3.6318 b=4.9022 c=17.9660 alpha=90.00 beta=90.00 gamma=90.00
Fractional coordinates of all 10 atoms:
Pm  0.0000  0.0000  0.0000
Pm  0.0000  0.0000  0.2076
Pm  0.0000  0.0000  0.4136
Pm  0.0000  0.0000  0.5864
Pm  0.0000  0.0000  0.7924
Sm  0.5000  0.5000  0.1036
Sm  0.5000  0.5000  0.3058
Sm  0.5000  0.5000  0.6942
Sm  0.5000  0.5000  0.8964
Al  0.5000  0.5000  0.5000

=====

Computed powder diffraction line list of Pm4Sm15Al for λ = 1.5418 Å (Cu Kα), from a crystal structure in Alexandria, relaxed with PBE.
Lines closer than 0.1° are merged.

The 6 most intense peaks (10 to 90 degrees two-theta), most intense first:
- 30.46 deg, rel. 100
- 35.46 deg, rel. 34
- 60.59 deg, rel. 28
- 50.69 deg, rel. 23
- 35.02 deg, rel. 16
- 60.01 deg, rel. 12

Crystal structure
Unit cell a=5.0632 b=5.0632 c=25.6215 alpha=90.00 beta=90.00 gamma=90.00
Fractional coordinates of all 20 atoms:
Pm  0.0000  0.0000  0.1013
Pm  0.0000  0.0000  0.3049
Pm  0.0000  0.0000  0.6951
Pm  0.0000  0.0000  0.8987
Sm  0.0000  0.5000  0.0000
Sm  0.0000  0.5000  0.2037
Sm  0.0000  0.5000  0.4075
Sm  0.0000  0.5000  0.5925
Sm  0.0000  0.5000  0.7963
Sm  0.5000  0.0000  0.0000
Sm  0.5000  0.0000  0.2037
Sm  0.5000  0.0000  0.4075
Sm  0.5000  0.0000  0.5925
Sm  0.5000  0.0000  0.7963
Sm  0.5000  0.5000  0.1022
Sm  0.5000  0.5000  0.3064
Sm  0.5000  0.5000  0.5000
Sm  0.5000  0.5000  0.6936
Sm  0.5000  0.5000  0.8978
Al  0.0000  0.0000  0.5000

=====

Computed powder diffraction line list of Pm5SmAl3 for λ = 1.5418 Å (Cu Kα), from a crystal structure in Alexandria, relaxed with PBE.
Lines closer than 0.1° are merged.

The 6 most intense peaks (10 to 90 degrees two-theta), most intense first:
- 32.57 deg, rel. 100
- 33.53 deg, rel. 58
- 23.13 deg, rel. 31
- 33.25 deg, rel. 28
- 47.28 deg, rel. 22
- 64.83 deg, rel. 17

Crystal structure
Unit cell a=9.3094 b=9.3094 c=6.8252 alpha=90.00 beta=90.00 gamma=59.46
Fractional coordinates of all 18 atoms:
Pm  0.1547  0.1547  0.0000
Pm  0.1547  0.1547  0.5000
Pm  0.1673  0.4938  0.2500
Pm  0.1736  0.8264  0.7500
Pm  0.4938  0.1673  0.7500
Pm  0.5062  0.8327  0.2500
Pm  0.8264  0.1736  0.2500
Pm  0.8327  0.5062  0.7500
Pm  0.8453  0.8453  0.0000
Pm  0.8453  0.8453  0.5000
Sm  0.5000  0.5000  0.0000
Sm  0.5000  0.5000  0.5000
Al  0.1651  0.5022  0.7500
Al  0.1673  0.8327  0.2500
Al  0.4978  0.8349  0.7500
Al  0.5022  0.1651  0.2500
Al  0.8327  0.1673  0.7500
Al  0.8349  0.4978  0.2500

=====

Computed powder diffraction line list of PmSmAl for λ = 1.5418 Å (Cu Kα), from a crystal structure in Alexandria, relaxed with PBE.
Lines closer than 0.1° are merged.

The 6 most intense peaks (10 to 90 degrees two-theta), most intense first:
- 35.24 deg, rel. 100
- 24.27 deg, rel. 90
- 25.17 deg, rel. 41
- 34.40 deg, rel. 27
- 34.77 deg, rel. 26
- 43.10 deg, rel. 20

Crystal structure
Unit cell a=5.1604 b=3.5382 c=5.2140 alpha=90.00 beta=90.07 gamma=90.00
Fractional coordinates of all 3 atoms:
Pm  0.0000  0.0000  0.0000
Sm  0.5000  0.0000  0.5000
Al  0.0000  0.5000  0.5000

=====

Computed powder diffraction line list of PmSm2Al9 for λ = 1.5418 Å (Cu Kα), from a crystal structure in Alexandria, relaxed with PBE.
Lines closer than 0.1° are merged.

The 6 most intense peaks (10 to 90 degrees two-theta), most intense first:
- 37.85 deg, rel. 100
- 31.71 deg, rel. 87
- 29.89 deg, rel. 84
- 18.46 deg, rel. 77
- 32.70 deg, rel. 53
- 36.94 deg, rel. 45

Crystal structure
Unit cell a=9.3989 b=9.3989 c=9.3989 alpha=34.95 beta=34.95 gamma=34.95
Fractional coordinates of all 12 atoms:
Pm  0.0000  0.0000  0.0000
Sm  0.1417  0.1417  0.1417
Sm  0.8583  0.8583  0.8583
Al  0.0754  0.5867  0.5867
Al  0.3354  0.3354  0.3354
Al  0.4133  0.4133  0.9246
Al  0.4133  0.9246  0.4133
Al  0.5000  0.5000  0.5000
Al  0.5867  0.0754  0.5867
Al  0.5867  0.5867  0.0754
Al  0.6646  0.6646  0.6646
Al  0.9246  0.4133  0.4133

=====

Computed powder diffraction line list of PmSmAl4 for λ = 1.5418 Å (Cu Kα), from a crystal structure in Alexandria, relaxed with PBE.
Lines closer than 0.1° are merged.

The 6 most intense peaks (10 to 90 degrees two-theta), most intense first:
- 37.32 deg, rel. 100
- 31.67 deg, rel. 98
- 19.24 deg, rel. 60
- 56.41 deg, rel. 38
- 60.17 deg, rel. 33
- 66.15 deg, rel. 22

Crystal structure
Unit cell a=5.6504 b=5.6504 c=5.6504 alpha=60.00 beta=60.00 gamma=60.00
Fractional coordinates of all 6 atoms:
Pm  0.0000  0.0000  0.0000
Sm  0.7500  0.7500  0.7500
Al  0.3750  0.3750  0.3750
Al  0.3750  0.3750  0.8750
Al  0.3750  0.8750  0.3750
Al  0.8750  0.3750  0.3750

=====

Computed powder diffraction line list of PmSmAl for λ = 1.5418 Å (Cu Kα), from a crystal structure in Alexandria, relaxed with PBE.
Lines closer than 0.1° are merged.

The 6 most intense peaks (10 to 90 degrees two-theta), most intense first:
- 32.00 deg, rel. 100
- 26.22 deg, rel. 43
- 36.24 deg, rel. 41
- 62.54 deg, rel. 29
- 25.60 deg, rel. 25
- 44.90 deg, rel. 23

Crystal structure
Unit cell a=3.5054 b=3.5054 c=13.9173 alpha=90.00 beta=90.00 gamma=90.00
Fractional coordinates of all 6 atoms:
Pm  0.0000  0.0000  0.0000
Pm  0.5000  0.5000  0.5000
Sm  0.0000  0.0000  0.7077
Sm  0.5000  0.5000  0.2077
Al  0.0000  0.0000  0.3529
Al  0.5000  0.5000  0.8529

=====

Computed powder diffraction line list of Pm6SmAl for λ = 1.5418 Å (Cu Kα), from a crystal structure in Alexandria, relaxed with PBE.
Lines closer than 0.1° are merged.

The 6 most intense peaks (10 to 90 degrees two-theta), most intense first:
- 30.89 deg, rel. 100
- 36.22 deg, rel. 33
- 61.86 deg, rel. 28
- 51.26 deg, rel. 23
- 35.01 deg, rel. 17
- 60.25 deg, rel. 13

Crystal structure
Unit cell a=4.9604 b=4.9604 c=10.2506 alpha=90.00 beta=90.00 gamma=90.00
Fractional coordinates of all 8 atoms:
Pm  0.0000  0.0000  0.0000
Pm  0.0000  0.0000  0.5000
Pm  0.0000  0.5000  0.2369
Pm  0.0000  0.5000  0.7631
Pm  0.5000  0.0000  0.2369
Pm  0.5000  0.0000  0.7631
Sm  0.5000  0.5000  0.5000
Al  0.5000  0.5000  0.0000

=====

Computed powder diffraction line list of TbPmSmAl for λ = 1.5418 Å (Cu Kα), from a crystal structure in Alexandria, relaxed with PBE.
Lines closer than 0.1° are merged.

The 6 most intense peaks (10 to 90 degrees two-theta), most intense first:
- 32.07 deg, rel. 100
- 37.26 deg, rel. 33
- 53.59 deg, rel. 23
- 26.07 deg, rel. 17
- 37.09 deg, rel. 17
- 63.72 deg, rel. 14

Crystal structure
Unit cell a=4.8212 b=4.8316 c=4.8479 alpha=90.00 beta=90.00 gamma=90.00
Fractional coordinates of all 4 atoms:
Tb  0.0000  0.0000  0.0000
Pm  0.5000  0.0000  0.5000
Sm  0.0000  0.5000  0.5000
Al  0.5000  0.5000  0.0000

=====

Computed powder diffraction line list of Pm5Al2Sn5 for λ = 1.5418 Å (Cu Kα), from a crystal structure in Alexandria, relaxed with PBE.
Lines closer than 0.1° are merged.

The 6 most intense peaks (10 to 90 degrees two-theta), most intense first:
- 30.32 deg, rel. 100
- 36.67 deg, rel. 83
- 30.91 deg, rel. 50
- 40.04 deg, rel. 45
- 31.87 deg, rel. 41
- 35.44 deg, rel. 31

Crystal structure
Unit cell a=8.3788 b=8.3788 c=11.7830 alpha=127.87 beta=127.87 gamma=31.18
Fractional coordinates of all 12 atoms:
Pm  0.0000  0.0000  0.0000
Pm  0.1108  0.1108  0.4251
Pm  0.2018  0.2018  0.8333
Pm  0.7982  0.7982  0.1667
Pm  0.8892  0.8892  0.5749
Al  0.3607  0.3607  0.7469
Al  0.6393  0.6393  0.2531
Sn  0.2531  0.2531  0.3138
Sn  0.4364  0.4364  0.1535
Sn  0.5000  0.5000  0.5000
Sn  0.5636  0.5636  0.8465
Sn  0.7469  0.7469  0.6862